For Cd2CoAsO6, a DFT-relaxed cell (PBE+U, Alexandria) gives the simulated powder diffractogram in this record (a wavelength of 1.5418 Å).
No peak broadening, texture or thermal motion is included.

Atomic structure:
Unit cell a=5.153 b=5.153 c=4.829 alpha=90.00 beta=90.00 gamma=90.00
Space group P4mm (No. 99)
Asymmetric unit:
1 Cd 0.000 0.500 0.000 x2
2 Co 0.000 0.000 0.544 x1
3 As 0.500 0.500 0.586 x1
4 O 0.000 0.000 0.183 x1
5 O 0.259 0.259 0.698 x4
6 O 0.500 0.500 0.226 x1

The 10 most intense peaks (10° ≤ 2θ ≤ 90°), low angle first:
2θ/deg, Rel. int., h k l
18.37, 12, 0 0 1
30.74, 100, 1 1 1
34.82, 34, 2 0 0
37.24, 10, 0 0 2
45.04, 12, 1 1 2
50.07, 21, 2 2 0
51.90, 22, 2 0 2
59.91, 28, 3 1 1
63.14, 10, 1 1 3
84.61, 11, 3 1 3